Calculated powder XRD pattern of Pa3Ga4Au4 for CuKα, from DFT lattice parameters and positions (GGA-PBE).
No peak broadening, texture or thermal motion is included.

Atomic structure:
a b c (Å): 3.3852 4.6325 28.4745
angles (deg): 90.00 90.00 90.00
Space group Immm (No. 71)
Asymmetric unit:
Pa1 0.0000 0.0000 0.0000 x2
Pa2 0.0000 0.5000 0.1391 x4
Ga1 0.0000 0.0000 0.4544 x4
Ga2 0.0000 0.5000 0.3119 x4
Au1 0.0000 0.0000 0.2677 x4
Au2 0.0000 0.5000 0.4064 x4

Main lines, low angle first (2θ from 15° to 90°):
hkl	2θ (°)	I_rel
0 1 3	21.3	18.1
1 0 7	34.5	48.9
1 1 4	35.2	100.0
0 2 0	38.9	33.4
0 1 11	39.9	57.7
1 2 7	52.9	29.4
1 0 15	55.5	14.0
1 3 4	68.0	15.4
2 1 11	69.4	23.0
1 2 15	69.8	13.8

Calculated powder XRD pattern of NaGaHg2Br4 for CuKα, from DFT lattice parameters and positions (GGA-PBE).
No peak broadening, texture or thermal motion is included.

Atomic structure:
a b c (Å): 7.2720 13.2246 29.4503
angles (deg): 90.00 90.00 90.00
Space group Fddd (No. 70, origin choice 2)
Asymmetric unit:
Na1 0.1250 0.1250 0.1250 x8
Ga1 0.1250 0.1250 0.6250 x8
Hg1 0.1250 0.1250 0.2750 x16
Br1 0.0707 0.2737 0.8295 x32

Main lines, low angle first (2θ from 15° to 90°):
hkl	2θ (°)	I_rel
1 1 3	16.6	69.1
0 2 6	22.6	48.3
1 3 1	23.8	23.7
1 3 3	25.3	100.0
1 1 7	25.4	63.2
2 2 0	28.0	41.1
2 0 6	30.6	46.9
2 2 8	37.3	26.5
3 3 3	43.6	25.4
2 6 0	48.3	38.7